# 1
The following is a calculated powder diffractogram of SrGa6Au2. It was derived from a GGA-PBE-relaxed structure, using λ = 1.5418 Å (Cu Kα).
Lines closer than 0.1° are merged.

Cell and atoms:
```
SrGa6Au2
1.0
4.2618 0.0000 0.0000
0.0000 4.2618 0.0000
0.0000 0.0000 10.3209
Sr Ga Au
1 6 2
direct
0.0000 0.0000 0.0000
0.0000 0.0000 0.5000
0.0000 0.5000 0.3006
0.0000 0.5000 0.6994
0.5000 0.0000 0.3006
0.5000 0.0000 0.6994
0.5000 0.5000 0.5000
0.5000 0.5000 0.1358
0.5000 0.5000 0.8642
```

Top 12 peaks for 10° ≤ 2θ ≤ 90°, low angle first:
20.8°, I 60
22.6°, I 31
29.6°, I 31
30.9°, I 43
33.5°, I 71
34.5°, I 65
39.8°, I 100
40.9°, I 52
42.4°, I 90
55.1°, I 35
60.4°, I 33
75.8°, I 30


# 2
The following is a calculated powder diffractogram of SrGa4Au6. It was derived from a GGA-PBE-relaxed structure, using λ = 1.5418 Å (Cu Kα).
Lines closer than 0.1° are merged.

Cell and atoms:
```
SrGa4Au6
1.0
7.4970 0.0000 0.0000
-3.7485 6.4926 0.0000
0.0000 0.0000 4.4249
Sr Ga Au
1 4 6
direct
0.0000 0.0000 0.0000
0.1972 0.7951 0.5000
0.2049 0.4021 0.5000
0.5979 0.8028 0.5000
0.6667 0.3333 0.0000
0.0721 0.5313 0.0000
0.3956 0.1950 0.5000
0.4592 0.9279 0.0000
0.4687 0.5408 0.0000
0.7994 0.6044 0.5000
0.8050 0.2006 0.5000
```

Top 12 peaks for 10° ≤ 2θ ≤ 90°, low angle first:
13.6°, I 20
24.3°, I 22
34.3°, I 100
36.6°, I 23
40.8°, I 29
41.7°, I 22
42.1°, I 52
48.6°, I 17
59.8°, I 16
65.2°, I 14
66.2°, I 15
76.4°, I 16


# 3
The following is a calculated powder diffractogram of Sr2TlGaAu6. It was derived from a GGA-PBE-relaxed structure, using λ = 1.5418 Å (Cu Kα).
Lines closer than 0.1° are merged.

Cell and atoms:
```
Sr2TlGaAu6
1.0
6.6403 -2.7630 0.0000
6.6403 2.7630 0.0000
-6.5284 0.0000 6.8831
Sr Tl Ga Au
2 1 1 6
direct
0.2470 0.2470 0.2142
0.7530 0.7530 0.7858
0.5000 0.5000 0.0000
0.0000 0.0000 0.5000
0.2369 0.7372 0.2532
0.2454 0.2454 0.5877
0.2628 0.7631 0.7468
0.7372 0.2369 0.2532
0.7546 0.7546 0.4123
0.7631 0.2628 0.7468
```

Top 12 peaks for 10° ≤ 2θ ≤ 90°, low angle first:
18.4°, I 53
18.6°, I 40
18.7°, I 48
26.7°, I 55
37.2°, I 48
37.3°, I 93
37.5°, I 85
37.7°, I 79
38.3°, I 44
41.9°, I 100
42.6°, I 50
54.6°, I 33


# 4
The following is a calculated powder diffractogram of Sr2TlGa4Au3. It was derived from a GGA-PBE-relaxed structure, using λ = 1.5418 Å (Cu Kα).
Lines closer than 0.1° are merged.

Cell and atoms:
```
Sr2TlGa4Au3
1.0
4.5317 0.0000 0.0000
0.0000 4.5317 0.0000
0.0000 0.0000 11.2181
Sr Tl Ga Au
2 1 4 3
direct
0.0000 0.5000 0.2414
0.5000 0.0000 0.7586
0.0000 0.0000 0.5000
0.0000 0.0000 0.0000
0.0000 0.5000 0.6472
0.5000 0.0000 0.3528
0.5000 0.5000 0.0000
0.0000 0.5000 0.8762
0.5000 0.0000 0.1238
0.5000 0.5000 0.5000
```

Top 12 peaks for 10° ≤ 2θ ≤ 90°, low angle first:
15.8°, I 26
29.0°, I 47
31.0°, I 51
32.2°, I 100
39.8°, I 79
42.9°, I 64
45.1°, I 24
51.3°, I 25
57.5°, I 27
67.5°, I 24
74.3°, I 26
80.6°, I 24


# 5
The following is a calculated powder diffractogram of SrZnGa2Au2. It was derived from a GGA-PBE-relaxed structure, using λ = 1.5418 Å (Cu Kα).
Lines closer than 0.1° are merged.

Cell and atoms:
```
SrZnGa2Au2
1.0
4.4813 0.0000 0.0000
-2.2407 3.8809 0.0000
0.0000 0.0000 7.3445
Sr Zn Ga Au
1 1 2 2
direct
0.0000 0.0000 0.0000
0.0000 0.0000 0.5000
0.3333 0.6667 0.7046
0.6667 0.3333 0.2954
0.3333 0.6667 0.3157
0.6667 0.3333 0.6843
```

Top 12 peaks for 10° ≤ 2θ ≤ 90°, low angle first:
12.1°, I 38
26.0°, I 60
33.6°, I 100
36.7°, I 21
40.2°, I 94
43.7°, I 16
47.5°, I 13
53.4°, I 27
55.6°, I 38
68.9°, I 25
73.2°, I 16
77.7°, I 13


# 6
The following is a calculated powder diffractogram of Tb2GaAu. It was derived from a GGA-PBE-relaxed structure, using λ = 1.5418 Å (Cu Kα).
Lines closer than 0.1° are merged.

Cell and atoms:
```
Tb2GaAu
1.0
5.9307 0.0000 0.0000
0.0000 4.4765 0.0000
-2.6540 0.0000 7.3738
Tb Ga Au
4 2 2
direct
0.2130 0.2500 0.4340
0.2218 0.2500 0.9202
0.7782 0.7500 0.0798
0.7870 0.7500 0.5660
0.3244 0.7500 0.2067
0.6756 0.2500 0.7933
0.3486 0.7500 0.7082
0.6514 0.2500 0.2918
```

Top 12 peaks for 10° ≤ 2θ ≤ 90°, low angle first:
31.3°, I 87
31.4°, I 100
32.1°, I 50
33.1°, I 27
38.0°, I 56
38.8°, I 67
39.1°, I 62
40.3°, I 59
46.3°, I 39
52.4°, I 25
53.3°, I 27
63.1°, I 32


# 7
The following is a calculated powder diffractogram of TbGa4Au4. It was derived from a GGA-PBE-relaxed structure, using λ = 1.5418 Å (Cu Kα).
Lines closer than 0.1° are merged.

Cell and atoms:
```
TbGa4Au4
1.0
6.1813 0.0000 0.0000
0.0000 6.1813 0.0000
0.0000 0.0000 9.1087
Tb Ga Au
2 8 8
direct
0.2500 0.7500 0.2500
0.7500 0.2500 0.7500
0.0377 0.2500 0.1641
0.2500 0.0377 0.6641
0.2500 0.4623 0.6641
0.4623 0.2500 0.1641
0.5377 0.7500 0.8359
0.7500 0.5377 0.3359
0.7500 0.9623 0.3359
0.9623 0.7500 0.8359
0.0120 0.2500 0.4549
0.2500 0.0120 0.9549
0.2500 0.4880 0.9549
0.4880 0.2500 0.4549
0.5120 0.7500 0.5451
0.7500 0.5120 0.0451
0.7500 0.9880 0.0451
0.9880 0.7500 0.5451
```

Top 12 peaks for 10° ≤ 2θ ≤ 90°, low angle first:
19.5°, I 26
30.5°, I 100
32.9°, I 42
33.9°, I 71
41.3°, I 47
41.7°, I 74
42.3°, I 32
46.1°, I 42
59.9°, I 27
68.5°, I 21
68.7°, I 22
75.6°, I 21


# 8
The following is a calculated powder diffractogram of Tb2Ga12Au. It was derived from a GGA-PBE-relaxed structure, using λ = 1.5418 Å (Cu Kα).
Lines closer than 0.1° are merged.

Cell and atoms:
```
Tb2Ga12Au
1.0
6.2009 0.0000 0.0000
0.0000 6.2009 0.0000
0.0000 0.0000 15.3401
Tb Ga Au
4 24 2
direct
0.2500 0.7500 0.2491
0.2500 0.7500 0.7509
0.7500 0.2500 0.2491
0.7500 0.2500 0.7509
0.0002 0.9998 0.0956
0.9998 0.0002 0.9044
0.9998 0.4998 0.0956
0.0002 0.5002 0.9044
0.0833 0.5833 0.4307
0.0833 0.9167 0.5693
0.2500 0.2500 0.1884
0.2500 0.2500 0.3474
0.2500 0.2500 0.6526
0.2500 0.2500 0.8116
0.4167 0.5833 0.5693
0.4167 0.9167 0.4307
0.5002 0.0002 0.0956
0.4998 0.9998 0.9044
0.4998 0.5002 0.0956
0.5002 0.4998 0.9044
0.5833 0.0833 0.5693
0.5833 0.4167 0.4307
0.7500 0.7500 0.1884
0.7500 0.7500 0.3474
0.7500 0.7500 0.6526
0.7500 0.7500 0.8116
0.9167 0.0833 0.4307
0.9167 0.4167 0.5693
0.2500 0.7500 0.0000
0.7500 0.2500 0.0000
```

Top 12 peaks for 10° ≤ 2θ ≤ 90°, low angle first:
20.3°, I 32
28.8°, I 22
31.0°, I 100
31.1°, I 60
37.3°, I 68
40.9°, I 21
41.2°, I 86
41.4°, I 36
46.0°, I 22
46.7°, I 23
52.4°, I 52
68.4°, I 33


Question: Which formula does entry 5 have?
Answer: SrZnGa2Au2